# 1
Calculated powder XRD pattern
Compound: Mn2CuGe
Radiation: Cu Kα
Structure: a crystal structure in the Materials Project, relaxed with GGA-PBE

Structural model:
a = 5.9547 Å, b = 5.9547 Å, c = 5.9547 Å
α = 90.00°, β = 90.00°, γ = 90.00°
Space group F-43m (No. 216)
Unique sites:
Mn 0.0000 0.0000 0.0000 [4 per cell]
Mn 0.2500 0.2500 0.2500 [4 per cell]
Cu 0.0000 0.0000 0.5000 [4 per cell]
Ge 0.2500 0.2500 0.7500 [4 per cell]

Most intense lines, 10° ≤ 2θ ≤ 90°, in order of rising 2θ:
2θ 25.92, I 2, hkl 1 1 1; 2θ 42.96, I 100, hkl 2 2 0; 2θ 50.86, I 1, hkl 3 1 1; 2θ 62.38, I 15, hkl 4 0 0; 2θ 68.71, I 1, hkl 3 3 1; 2θ 78.73, I 30, hkl 4 2 2

# 2
Calculated powder XRD pattern
Compound: Na3Pd5F12
Radiation: Cu Kα
Structure: a crystal structure in the Materials Project, relaxed with GGA-PBE

Structural model:
a = 13.2836 Å, b = 6.9476 Å, c = 6.8896 Å
α = 90.00°, β = 108.38°, γ = 90.00°
Space group C2/m (No. 12)
Unique sites:
Na 0.0000 0.0000 0.0000 [2 per cell]
Na 0.0000 0.2601 0.5000 [4 per cell]
Pd 0.0000 0.5000 0.0000 [2 per cell]
Pd 0.2344 0.0000 0.4764 [4 per cell]
Pd 0.2500 0.2500 0.0000 [4 per cell]
F 0.0738 0.2891 0.8889 [8 per cell]
F 0.0764 0.0000 0.3969 [4 per cell]
F 0.1081 0.5000 0.4598 [4 per cell]
F 0.2137 0.0000 0.1699 [4 per cell]
F 0.2451 0.0000 0.7761 [4 per cell]

Most intense lines, 10° ≤ 2θ ≤ 90°, in order of rising 2θ:
2θ 14.05, I 51, hkl 2 0 0; 2θ 27.28, I 67, hkl 0 0 2; 2θ 28.32, I 57, hkl 4 0 0; 2θ 29.11, I 37, hkl 0 2 1; 2θ 30.46, I 100, hkl 2 2 -1; 2θ 34.35, I 38, hkl 2 2 1; 2θ 47.48, I 46, hkl 2 2 -3; 2θ 48.78, I 36, hkl 6 2 -1; 2θ 52.70, I 17, hkl 0 4 0; 2θ 56.93, I 17, hkl 6 2 -3